Record 1
Diffraction record for Pr4HCO2. The powder XRD pattern is theoretical, not measured: it uses DFT lattice parameters and positions (GGA-PBE) and Cu Ka.

Cell lengths 6.395, 6.395, 6.395 Å; angles 131.90, 131.90, 70.39 degrees
Fractional coordinates of all 8 atoms:
Pr (0.000, 0.500, 0.500)
Pr (0.239, 0.239, 0.000)
Pr (0.500, 0.000, 0.500)
Pr (0.761, 0.761, 0.000)
H (0.500, 0.500, 0.000)
C (0.750, 0.250, 0.500)
O (0.000, 0.000, 0.000)
O (0.250, 0.750, 0.500)

Principal peaks in the range 5 to 70 degrees two-theta, in order of rising 2θ:
Position (°2θ)	d_spacing	I/Imax
29.66	3.012	100
34.38	2.608	71
49.41	1.844	49
58.61	1.575	14
58.74	1.572	30
61.58	1.506	16



Record 2
Diffraction record for Nd3GaOs. The powder XRD pattern is theoretical, not measured: it uses DFT lattice parameters and positions (GGA-PBE) and Cu Ka.

Cell lengths 9.439, 8.723, 5.913 Å; angles 77.70, 64.55, 37.74 degrees
Fractional coordinates of all 10 atoms:
Nd (0.197, 0.197, 0.803)
Nd (0.207, 0.586, 0.414)
Nd (0.414, 0.793, 0.207)
Nd (0.586, 0.207, 0.793)
Nd (0.793, 0.414, 0.586)
Nd (0.803, 0.803, 0.197)
Ga (0.189, 0.811, 0.811)
Ga (0.811, 0.189, 0.189)
Os (0.250, 0.250, 0.250)
Os (0.750, 0.750, 0.750)

Principal peaks in the range 5 to 70 degrees two-theta, in order of rising 2θ:
Position (°2θ)	d_spacing	I/Imax
31.03	2.882	64
32.17	2.782	56
34.51	2.599	100
35.04	2.561	59
38.17	2.358	50
39.72	2.270	50



Record 3
Diffraction record for Cd7In2. The powder XRD pattern is theoretical, not measured: it uses DFT lattice parameters and positions (GGA-PBE) and Cu Ka.

Cell lengths 15.347, 15.347, 15.347 Å; angles 22.31, 22.31, 22.31 degrees
Fractional coordinates of all 18 atoms:
Cd (0.000, 0.000, 0.000)
Cd (0.000, 0.000, 0.500)
Cd (0.000, 0.500, 0.000)
Cd (0.109, 0.109, 0.109)
Cd (0.116, 0.116, 0.609)
Cd (0.116, 0.609, 0.116)
Cd (0.223, 0.223, 0.223)
Cd (0.391, 0.884, 0.884)
Cd (0.500, 0.000, 0.000)
Cd (0.609, 0.116, 0.116)
Cd (0.777, 0.777, 0.777)
Cd (0.884, 0.391, 0.884)
Cd (0.884, 0.884, 0.391)
Cd (0.891, 0.891, 0.891)
In (0.350, 0.350, 0.350)
In (0.459, 0.459, 0.459)
In (0.541, 0.541, 0.541)
In (0.650, 0.650, 0.650)

Principal peaks in the range 5 to 70 degrees two-theta, in order of rising 2θ:
Position (°2θ)	d_spacing	I/Imax
30.09	2.970	23
34.95	2.568	26
35.17	2.552	100
38.33	2.349	22
38.51	2.338	36
62.56	1.485	24



Please write out number 1 again, unchanged.
Diffraction record for Pr4HCO2. The powder XRD pattern is theoretical, not measured: it uses DFT lattice parameters and positions (GGA-PBE) and Cu Ka.

Cell lengths 6.395, 6.395, 6.395 Å; angles 131.90, 131.90, 70.39 degrees
Fractional coordinates of all 8 atoms:
Pr (0.000, 0.500, 0.500)
Pr (0.239, 0.239, 0.000)
Pr (0.500, 0.000, 0.500)
Pr (0.761, 0.761, 0.000)
H (0.500, 0.500, 0.000)
C (0.750, 0.250, 0.500)
O (0.000, 0.000, 0.000)
O (0.250, 0.750, 0.500)

Principal peaks in the range 5 to 70 degrees two-theta, in order of rising 2θ:
Position (°2θ)	d_spacing	I/Imax
29.66	3.012	100
34.38	2.608	71
49.41	1.844	49
58.61	1.575	14
58.74	1.572	30
61.58	1.506	16